This entry pairs a crystal structure of Li6Zn3P4S16 with its theoretical XRD peak list. Radiation: CuKα. Structure: a PBE-relaxed structure.
Peak positions follow from Bragg's law for the DFT cell and can differ from measured ones.

Atomic structure:
Cell: 11.592 9.290 11.596 Å, 90.00 90.07 90.00°
Space group P2_1 (No. 4)
Asymmetric unit:
1 Li 0.122 0.000 0.380 [2 per cell]
2 Li 0.123 0.251 0.123 [2 per cell]
3 Li 0.127 0.247 0.627 [2 per cell]
4 Li 0.127 0.749 0.627 [2 per cell]
5 Li 0.374 0.747 0.873 [2 per cell]
6 Li 0.377 0.749 0.376 [2 per cell]
7 Zn 0.125 0.743 0.124 [2 per cell]
8 Zn 0.374 0.249 0.874 [2 per cell]
9 Zn 0.377 0.255 0.378 [2 per cell]
10 P 0.121 0.495 0.371 [2 per cell]
11 P 0.129 0.501 0.875 [2 per cell]
12 P 0.374 0.996 0.125 [2 per cell]
13 P 0.376 0.002 0.620 [2 per cell]
14 S 0.014 0.380 0.772 [2 per cell]
15 S 0.018 0.377 0.268 [2 per cell]
16 S 0.020 0.610 0.986 [2 per cell]
17 S 0.021 0.618 0.481 [2 per cell]
18 S 0.229 0.620 0.268 [2 per cell]
19 S 0.231 0.611 0.766 [2 per cell]
20 S 0.234 0.378 0.980 [2 per cell]
21 S 0.234 0.384 0.479 [2 per cell]
22 S 0.262 0.884 0.021 [2 per cell]
23 S 0.267 0.882 0.519 [2 per cell]
24 S 0.271 0.113 0.734 [2 per cell]
25 S 0.271 0.119 0.236 [2 per cell]
26 S 0.477 0.114 0.016 [2 per cell]
27 S 0.482 0.118 0.513 [2 per cell]
28 S 0.484 0.886 0.727 [2 per cell]
29 S 0.486 0.883 0.229 [2 per cell]

Principal peaks in the range 10° ≤ 2θ ≤ 90°, low angle first:
| hkl | Position (°2θ) | intensity |
| --- | --- | --- |
| 2 1 0 | 18.0 | 75.4 |
| 2 2 2 | 29.1 | 100.0 |
| 2 3 0 | 32.8 | 6.8 |
| 4 1 -2 | 36.0 | 16.7 |
| 4 0 4 | 44.2 | 23.2 |
| 2 3 -4 | 45.6 | 15.2 |
| 4 4 0 | 50.3 | 33.6 |
| 2 2 -6 | 53.8 | 22.5 |
| 6 1 -4 | 58.2 | 11.0 |
| 8 0 0 | 64.3 | 13.5 |



This entry pairs a crystal structure of ErNiB4 with its theoretical XRD peak list. Radiation: CuKα. Structure: a PBE-relaxed structure.
Peak positions follow from Bragg's law for the DFT cell and can differ from measured ones.

Atomic structure:
Cell: 5.870 11.395 3.392 Å, 90.00 90.00 90.00°
Space group Pbam (No. 55)
Asymmetric unit:
1 Er 0.127 0.150 0.000 [4 per cell]
2 Ni 0.134 0.412 0.000 [4 per cell]
3 B 0.021 0.692 0.500 [4 per cell]
4 B 0.113 0.547 0.500 [4 per cell]
5 B 0.138 0.967 0.500 [4 per cell]
6 B 0.215 0.815 0.500 [4 per cell]

Principal peaks in the range 10° ≤ 2θ ≤ 90°, low angle first:
| hkl | Position (°2θ) | intensity |
| --- | --- | --- |
| 1 2 0 | 21.7 | 21.9 |
| 0 0 1 | 26.3 | 66.9 |
| 1 3 0 | 28.0 | 29.7 |
| 0 4 0 | 31.4 | 90.9 |
| 1 2 1 | 34.4 | 19.0 |
| 1 3 1 | 38.8 | 46.0 |
| 0 4 1 | 41.4 | 100.0 |
| 1 4 1 | 44.3 | 23.3 |
| 2 3 1 | 47.4 | 21.0 |
| 0 4 2 | 63.9 | 27.6 |



This entry pairs a crystal structure of La4Ni3Pb4 with its theoretical XRD peak list. Radiation: CuKα. Structure: a PBE-relaxed structure.
Peak positions follow from Bragg's law for the DFT cell and can differ from measured ones.

Atomic structure:
Cell: 9.9901 9.9901 10.3289 Å, 90.00 90.00 120.00°
Space group R3 (No. 146, hexagonal axes)
Asymmetric unit:
1 La 0.0000 0.0000 0.0000 [3 per cell]
2 La 0.0069 0.7543 0.5570 [9 per cell]
3 Ni 0.0143 0.1508 0.7423 [9 per cell]
4 Pb 0.0000 0.0000 0.3385 [3 per cell]
5 Pb 0.0642 0.3501 0.9364 [9 per cell]

Principal peaks in the range 10° ≤ 2θ ≤ 90°, low angle first:
| hkl | Position (°2θ) | intensity |
| --- | --- | --- |
| 0 0 3 | 25.9 | 43.3 |
| 2 1 1 | 28.6 | 93.2 |
| 3 0 0 | 31.0 | 81.4 |
| 1 1 3 | 31.6 | 100.0 |
| 1 2 2 | 32.4 | 95.8 |
| 4 -3 1 | 38.5 | 50.9 |
| 0 3 3 | 40.8 | 52.2 |
| 4 -1 2 | 41.5 | 27.3 |
| 4 -2 3 | 44.8 | 32.1 |
| 1 1 6 | 56.5 | 30.2 |



This entry pairs a crystal structure of Ga3B4Pt9 with its theoretical XRD peak list. Radiation: CuKα. Structure: a PBE-relaxed structure.
Peak positions follow from Bragg's law for the DFT cell and can differ from measured ones.

Atomic structure:
Cell: 8.8004 8.8004 6.5771 Å, 90.00 90.00 120.00°
Space group P-62c (No. 190)
Asymmetric unit:
1 Ga 0.0515 0.4907 0.2500 [6 per cell]
2 B 0.0000 0.8205 0.0000 [6 per cell]
3 B 0.3333 0.6667 0.7500 [2 per cell]
4 Pt 0.0074 0.1848 0.2500 [6 per cell]
5 Pt 0.1854 0.7265 0.5215 [12 per cell]

Principal peaks in the range 10° ≤ 2θ ≤ 90°, low angle first:
| hkl | Position (°2θ) | intensity |
| --- | --- | --- |
| 1 0 2 | 29.6 | 52.6 |
| 2 1 0 | 31.0 | 51.5 |
| 1 1 2 | 34.0 | 42.7 |
| 3 0 0 | 35.3 | 30.3 |
| 2 0 2 | 36.1 | 19.4 |
| 2 1 2 | 41.7 | 100.0 |
| 3 1 0 | 42.8 | 62.3 |
| 2 2 2 | 49.9 | 59.2 |
| 3 1 4 | 72.9 | 22.2 |
| 5 1 2 | 75.2 | 34.5 |



Repeat the second record exactly.
This entry pairs a crystal structure of ErNiB4 with its theoretical XRD peak list. Radiation: CuKα. Structure: a PBE-relaxed structure.
Peak positions follow from Bragg's law for the DFT cell and can differ from measured ones.

Atomic structure:
Cell: 5.870 11.395 3.392 Å, 90.00 90.00 90.00°
Space group Pbam (No. 55)
Asymmetric unit:
1 Er 0.127 0.150 0.000 [4 per cell]
2 Ni 0.134 0.412 0.000 [4 per cell]
3 B 0.021 0.692 0.500 [4 per cell]
4 B 0.113 0.547 0.500 [4 per cell]
5 B 0.138 0.967 0.500 [4 per cell]
6 B 0.215 0.815 0.500 [4 per cell]

Principal peaks in the range 10° ≤ 2θ ≤ 90°, low angle first:
| hkl | Position (°2θ) | intensity |
| --- | --- | --- |
| 1 2 0 | 21.7 | 21.9 |
| 0 0 1 | 26.3 | 66.9 |
| 1 3 0 | 28.0 | 29.7 |
| 0 4 0 | 31.4 | 90.9 |
| 1 2 1 | 34.4 | 19.0 |
| 1 3 1 | 38.8 | 46.0 |
| 0 4 1 | 41.4 | 100.0 |
| 1 4 1 | 44.3 | 23.3 |
| 2 3 1 | 47.4 | 21.0 |
| 0 4 2 | 63.9 | 27.6 |